Hg2S: simulated XRD peak list (Cu Ka), based on a DFT-relaxed cell (GGA-PBE, OQMD).
Intensities are scaled so that the largest is 100.

Top 8 peaks for 2θ = 5–70°, by angle:
index, 2θ/deg, I (rel.)
1 0 1, 18.93, 23.4
1 1 2, 29.19, 100.0
1 0 3, 29.49, 19.4
0 0 4, 31.88, 25.8
2 1 1, 39.89, 48.3
2 1 3, 46.22, 26.0
2 0 4, 47.89, 21.0
1 1 6, 55.16, 17.4

Cell lengths 5.159, 5.159, 11.228 Å; angles 90.00, 90.00, 90.00 degrees
Space group I-42d (No. 122)
One atom of each set of equivalent atoms:
Hg (0.148, 0.250, 0.125) [8 per cell]
S (0.000, 0.000, 0.500) [4 per cell]


CsCo2: simulated XRD peak list (Cu Ka), based on a DFT-relaxed cell (GGA-PBE, OQMD).
Intensities are scaled so that the largest is 100.

Top 8 peaks for 2θ = 5–70°, by angle:
index, 2θ/deg, I (rel.)
1 1 1, 19.82, 6.3
2 2 0, 32.64, 56.0
3 1 1, 38.48, 100.0
2 2 2, 40.27, 19.1
3 3 1, 51.33, 1.7
4 2 2, 58.26, 21.0
5 1 1, 62.17, 31.2
4 4 0, 68.40, 23.5

Cell lengths 7.759, 7.759, 7.759 Å; angles 90.00, 90.00, 90.00 degrees
Space group Fd-3m (No. 227, origin choice 2)
One atom of each set of equivalent atoms:
Cs (0.125, 0.125, 0.125) [8 per cell]
Co (0.000, 0.000, 0.500) [16 per cell]


KZrPSe6: simulated XRD peak list (Cu Ka), based on a DFT-relaxed cell (GGA-PBE, OQMD).
Intensities are scaled so that the largest is 100.

Top 8 peaks for 2θ = 5–70°, by angle:
index, 2θ/deg, I (rel.)
0 1 1, 7.50, 100.0
0 0 2, 9.67, 67.9
0 2 1, 12.47, 57.7
0 2 2, 15.04, 55.3
1 3 1, 29.34, 82.0
1 4 1, 33.22, 94.1
1 0 6, 37.60, 46.9
1 3 5, 38.16, 65.4

Cell lengths 3.861, 15.410, 18.291 Å; angles 90.00, 90.00, 90.00 degrees
Space group Pmc2_1 (No. 26)
One atom of each set of equivalent atoms:
K (0.000, 0.062, 0.000) [2 per cell]
K (0.000, 0.382, 0.994) [2 per cell]
Zr (0.500, 0.215, 0.776) [2 per cell]
Zr (0.500, 0.307, 0.410) [2 per cell]
P (0.000, 0.031, 0.695) [2 per cell]
P (0.000, 0.378, 0.245) [2 per cell]
Se (0.000, 0.088, 0.811) [2 per cell]
Se (0.000, 0.105, 0.183) [2 per cell]
Se (0.000, 0.174, 0.390) [2 per cell]
Se (0.000, 0.251, 0.504) [2 per cell]
Se (0.000, 0.287, 0.682) [2 per cell]
Se (0.000, 0.334, 0.806) [2 per cell]
Se (0.000, 0.427, 0.364) [2 per cell]
Se (0.000, 0.469, 0.159) [2 per cell]
Se (0.500, 0.101, 0.647) [2 per cell]
Se (0.500, 0.213, 0.929) [2 per cell]
Se (0.500, 0.284, 0.251) [2 per cell]
Se (0.500, 0.437, 0.511) [2 per cell]


DyYPbC: simulated XRD peak list (Cu Ka), based on a DFT-relaxed cell (GGA-PBE, OQMD).
Intensities are scaled so that the largest is 100.

Top 8 peaks for 2θ = 5–70°, by angle:
index, 2θ/deg, I (rel.)
0 0 1, 5.47, 19.2
1 0 0, 28.31, 22.2
1 0 3, 32.92, 100.0
0 0 6, 33.30, 20.5
1 1 0, 50.11, 21.4
1 0 9, 59.27, 18.7
0 2 3, 61.27, 17.0
1 1 6, 61.50, 21.6

Cell lengths 3.6407, 3.6407, 16.1440 Å; angles 90.00, 90.00, 120.00 degrees
Space group P-3m1 (No. 164)
One atom of each set of equivalent atoms:
Dy (0.3333, 0.6667, 0.0826) [2 per cell]
Y (0.3333, 0.6667, 0.4173) [2 per cell]
Pb (0.3333, 0.6667, 0.7500) [2 per cell]
C (0.0000, 0.0000, 0.0000) [1 per cell]
C (0.0000, 0.0000, 0.5000) [1 per cell]


HoZrCd2Au4: simulated XRD peak list (Cu Ka), based on a DFT-relaxed cell (GGA-PBE, OQMD).
Intensities are scaled so that the largest is 100.

Top 8 peaks for 2θ = 5–70°, by angle:
index, 2θ/deg, I (rel.)
1 1 0, 25.94, 6.8
1 1 1, 29.06, 1.2
2 0 0, 37.01, 100.0
2 0 2, 45.75, 2.2
2 2 0, 53.30, 11.8
0 0 4, 53.42, 5.6
3 1 0, 60.21, 2.1
3 1 2, 66.69, 35.1

Cell lengths 4.861, 4.861, 6.861 Å; angles 90.00, 90.00, 90.00 degrees
Space group P4/mmm (No. 123)
One atom of each set of equivalent atoms:
Ho (0.000, 0.000, 0.000) [1 per cell]
Zr (0.500, 0.500, 0.500) [1 per cell]
Cd (0.000, 0.000, 0.500) [1 per cell]
Cd (0.500, 0.500, 0.000) [1 per cell]
Au (0.000, 0.500, 0.261) [4 per cell]


LiPr2AuSe2O2: simulated XRD peak list (Cu Ka), based on a DFT-relaxed cell (GGA-PBE, OQMD).
Intensities are scaled so that the largest is 100.

Top 8 peaks for 2θ = 5–70°, by angle:
index, 2θ/deg, I (rel.)
1 0 1, 23.90, 35.3
1 0 2, 29.46, 100.0
1 1 1, 32.53, 36.8
1 1 2, 36.91, 40.8
1 0 3, 37.04, 27.1
2 0 0, 44.34, 39.3
1 1 4, 51.29, 28.4
2 1 2, 54.15, 42.7

Cell lengths 4.086, 4.086, 9.050 Å; angles 90.00, 90.00, 90.00 degrees
Space group P-4m2 (No. 115)
One atom of each set of equivalent atoms:
Li (0.000, 0.000, 0.000) [1 per cell]
Pr (0.000, 0.500, 0.368) [2 per cell]
Au (0.500, 0.500, 0.000) [1 per cell]
Se (0.000, 0.500, 0.810) [2 per cell]
O (0.000, 0.000, 0.500) [1 per cell]
O (0.500, 0.500, 0.500) [1 per cell]